No. 1
Structure and theoretical PXRD pattern of BaCO3 (the PBE geometry in the Materials Project; Cu Kα, 1.54184 Å).
Neutral-atom scattering factors, no anomalous dispersion.

Structure:
Unit cell a=4.432 b=4.432 c=4.432 alpha=74.96 beta=74.96 gamma=74.96
Element x y z (fractional)
Ba: 0.000 0.000 0.000
C: 0.552 0.552 0.552
O: 0.415 0.415 0.833
O: 0.415 0.833 0.415
O: 0.833 0.415 0.415

Peak list (10 most intense, 10° ≤ 2θ ≤ 90°, by angle)
d = 4.188 Å, 2θ = 21.2°, rel. 72; d = 3.323 Å, 2θ = 26.8°, rel. 100; d = 3.153 Å, 2θ = 28.3°, rel. 16; d = 2.697 Å, 2θ = 33.2°, rel. 42; d = 2.267 Å, 2θ = 39.8°, rel. 37; d = 2.110 Å, 2θ = 42.9°, rel. 26; d = 2.094 Å, 2θ = 43.2°, rel. 27; d = 2.049 Å, 2θ = 44.2°, rel. 38; d = 1.735 Å, 2θ = 52.7°, rel. 21; d = 1.654 Å, 2θ = 55.6°, rel. 16


No. 2
Structure and theoretical PXRD pattern of BaCO3 (the PBE geometry in the Materials Project; Cu Kα, 1.54184 Å).
Neutral-atom scattering factors, no anomalous dispersion.

Structure:
Unit cell a=6.596 b=5.378 c=9.014 alpha=90.00 beta=90.00 gamma=90.00
Element x y z (fractional)
Ba: 0.246 0.250 0.084
Ba: 0.254 0.750 0.584
Ba: 0.746 0.250 0.416
Ba: 0.754 0.750 0.916
C: 0.078 0.250 0.744
C: 0.422 0.750 0.244
C: 0.578 0.250 0.756
C: 0.922 0.750 0.256
O: 0.079 0.040 0.816
O: 0.079 0.460 0.816
O: 0.085 0.250 0.600
O: 0.415 0.750 0.100
O: 0.421 0.540 0.316
O: 0.421 0.960 0.316
O: 0.579 0.040 0.684
O: 0.579 0.460 0.684
O: 0.585 0.250 0.900
O: 0.915 0.750 0.400
O: 0.921 0.540 0.184
O: 0.921 0.960 0.184

Peak list (10 most intense, 10° ≤ 2θ ≤ 90°, by angle)
d = 3.783 Å, 2θ = 23.5°, rel. 100; d = 3.721 Å, 2θ = 23.9°, rel. 51; d = 2.686 Å, 2θ = 33.4°, rel. 38; d = 2.623 Å, 2θ = 34.2°, rel. 27; d = 2.179 Å, 2θ = 41.4°, rel. 33; d = 2.132 Å, 2θ = 42.4°, rel. 16; d = 2.084 Å, 2θ = 43.4°, rel. 15; d = 2.053 Å, 2θ = 44.1°, rel. 28; d = 1.985 Å, 2θ = 45.7°, rel. 22; d = 1.395 Å, 2θ = 67.1°, rel. 17


No. 3
Structure and theoretical PXRD pattern of BaC2O6 (the PBE geometry in the Materials Project; Cu Kα, 1.54184 Å).
Neutral-atom scattering factors, no anomalous dispersion.

Structure:
Unit cell a=7.987 b=10.724 c=7.097 alpha=90.00 beta=99.38 gamma=90.00
Element x y z (fractional)
Ba: 0.182 0.014 0.269
Ba: 0.182 0.486 0.769
Ba: 0.818 0.514 0.231
Ba: 0.818 0.986 0.731
C: 0.054 0.749 0.485
C: 0.054 0.751 0.985
C: 0.220 0.702 0.416
C: 0.220 0.798 0.916
C: 0.780 0.202 0.084
C: 0.780 0.298 0.584
C: 0.946 0.249 0.015
C: 0.946 0.251 0.515
O: 0.031 0.634 0.998
O: 0.031 0.866 0.498
O: 0.049 0.166 0.975
O: 0.049 0.334 0.475
O: 0.253 0.587 0.442
O: 0.253 0.913 0.942
O: 0.304 0.719 0.839
O: 0.304 0.781 0.339
O: 0.362 0.177 0.766
O: 0.362 0.323 0.266
O: 0.402 0.073 0.710
O: 0.402 0.427 0.210
O: 0.598 0.573 0.790
O: 0.598 0.927 0.290
O: 0.638 0.677 0.734
O: 0.638 0.823 0.234
O: 0.696 0.219 0.661
O: 0.696 0.281 0.161
O: 0.747 0.087 0.058
O: 0.747 0.413 0.558
O: 0.951 0.666 0.525
O: 0.951 0.834 0.025
O: 0.969 0.134 0.502
O: 0.969 0.366 0.002

Peak list (10 most intense, 10° ≤ 2θ ≤ 90°, by angle)
d = 7.880 Å, 2θ = 11.2°, rel. 81; d = 5.362 Å, 2θ = 16.5°, rel. 48; d = 5.045 Å, 2θ = 17.6°, rel. 98; d = 4.424 Å, 2θ = 20.1°, rel. 100; d = 3.499 Å, 2θ = 25.5°, rel. 79; d = 3.081 Å, 2θ = 29.0°, rel. 55; d = 3.029 Å, 2θ = 29.5°, rel. 54; d = 2.931 Å, 2θ = 30.5°, rel. 57; d = 2.879 Å, 2θ = 31.1°, rel. 70; d = 2.127 Å, 2θ = 42.5°, rel. 49